# 1
Structure and computed XRD peak list of Rb2Ca2Cd (a PBE-relaxed structure; Cu Ka).

Most intense lines, 10° ≤ 2θ ≤ 80°, low angle first:
d/Å	2theta	I_rel
4.643	19.1	39
3.671	24.2	100
3.368	26.5	82
2.996	29.8	18
2.680	33.4	34
2.321	38.8	17
2.165	41.7	36
2.056	44.0	22
1.979	45.8	23
1.318	71.6	15

Cell and atoms:
Cell lengths 8.474, 8.474, 7.344 Å; angles 90.00, 90.00, 90.00 degrees
Element x y z (fractional)
Rb1 0.179 0.321 0.000
Rb2 0.321 0.821 0.000
Rb3 0.679 0.179 0.000
Rb4 0.821 0.679 0.000
Ca1 0.164 0.664 0.500
Ca2 0.336 0.164 0.500
Ca3 0.664 0.836 0.500
Ca4 0.836 0.336 0.500
Cd1 0.000 0.000 0.500
Cd2 0.500 0.500 0.500



# 2
Structure and computed XRD peak list of Ba6Na8Ir (a PBE-relaxed structure; Cu Ka).

Most intense lines, 10° ≤ 2θ ≤ 80°, low angle first:
d/Å	2theta	I_rel
7.522	11.8	75
6.949	12.7	100
4.883	18.2	45
3.761	23.7	53
3.475	25.6	80
3.402	26.2	58
2.934	30.5	97
2.755	32.5	47
2.300	39.2	35
2.143	42.2	45

Cell and atoms:
Cell lengths 11.687, 11.687, 11.687 Å; angles 45.00, 45.00, 45.00 degrees
Element x y z (fractional)
Ba1 0.237 0.762 0.668
Ba2 0.238 0.332 0.763
Ba3 0.332 0.763 0.238
Ba4 0.668 0.237 0.762
Ba5 0.762 0.668 0.237
Ba6 0.763 0.238 0.332
Na1 0.108 0.267 0.560
Na2 0.213 0.213 0.213
Na3 0.267 0.560 0.108
Na4 0.440 0.892 0.733
Na5 0.560 0.108 0.267
Na6 0.733 0.440 0.892
Na7 0.787 0.787 0.787
Na8 0.892 0.733 0.440
Ir1 0.500 0.500 0.500



# 3
Structure and computed XRD peak list of Ag8Sb5As3S16 (a PBE-relaxed structure; Cu Ka).

Most intense lines, 10° ≤ 2θ ≤ 80°, low angle first:
d/Å	2theta	I_rel
3.261	27.4	93
3.240	27.5	100
2.993	29.9	91
2.762	32.4	84
2.713	33.0	78
2.030	44.6	50
2.007	45.2	24
1.944	46.7	24
1.927	47.2	24
1.772	51.6	43

Cell and atoms:
Cell lengths 5.986, 8.696, 13.868 Å; angles 96.18, 90.21, 90.02 degrees
Element x y z (fractional)
Ag1 0.000 0.000 0.000
Ag2 0.004 0.084 0.628
Ag3 0.018 0.578 0.128
Ag4 0.023 0.497 0.501
Ag5 0.498 0.637 0.915
Ag6 0.505 0.536 0.286
Ag7 0.515 0.043 0.785
Ag8 0.519 0.132 0.415
Sb1 0.035 0.346 0.848
Sb2 0.491 0.783 0.567
Sb3 0.530 0.895 0.169
Sb4 0.539 0.283 0.059
Sb5 0.984 0.840 0.347
As1 0.003 0.235 0.254
As2 0.017 0.740 0.753
As3 0.505 0.388 0.659
S1 0.062 0.635 0.900
S2 0.090 0.989 0.814
S3 0.117 0.872 0.156
S4 0.123 0.314 0.035
S5 0.388 0.246 0.259
S6 0.397 0.806 0.376
S7 0.429 0.139 0.598
S8 0.459 0.495 0.514
S9 0.562 0.995 0.006
S10 0.592 0.624 0.097
S11 0.620 0.315 0.874
S12 0.631 0.752 0.759
S13 0.889 0.374 0.654
S14 0.902 0.815 0.538
S15 0.931 0.484 0.316
S16 0.956 0.128 0.399